No. 1
Theoretical PXRD pattern of CeNd2Cr2C4 for Cu Kα (weighted mean of Kα1 and Kα2), from the GGA-PBE geometry in Alexandria.
Neutral-atom scattering factors, no anomalous dispersion.

Peak list (12 most intense, 2θ = 5–70°, most intense first)
33.41 deg, I = 100, (3 1 -1); 39.86 deg, I = 90, (3 1 1); 26.31 deg, I = 73, (1 1 0); 31.37 deg, I = 71, (0 0 2); 27.02 deg, I = 71, (4 0 -1); 39.41 deg, I = 56, (1 1 -2); 36.74 deg, I = 37, (4 0 1); 52.05 deg, I = 25, (0 2 0); 52.47 deg, I = 23, (6 0 -3); 65.91 deg, I = 23, (3 1 3); 62.03 deg, I = 22, (0 2 2); 42.29 deg, I = 22, (5 1 -1)

Cell and atoms:
Cell: 13.5453 3.5142 6.0695 Å, 90.00 109.98 90.00°
Space group C2/m (No. 12)
Asymmetric unit:
Ce 0.0000 0.0000 0.0000 [2 per cell]
Nd 0.1345 0.0000 0.5381 [4 per cell]
Cr 0.1826 0.5000 0.9969 [4 per cell]
C 0.0512 0.5000 0.7648 [4 per cell]
C 0.2145 0.0000 0.1667 [4 per cell]


No. 2
Theoretical PXRD pattern of Ce2PaCrC4 for Cu Kα (weighted mean of Kα1 and Kα2), from the GGA-PBE geometry in Alexandria.
Neutral-atom scattering factors, no anomalous dispersion.

Peak list (12 most intense, 2θ = 5–70°, most intense first)
30.80 deg, I = 100, (1 1 2); 26.48 deg, I = 75, (0 2 3); 38.09 deg, I = 51, (1 3 2); 35.90 deg, I = 46, (1 3 1); 28.66 deg, I = 43, (0 0 4); 31.10 deg, I = 36, (0 4 0); 45.73 deg, I = 27, (1 1 5); 51.23 deg, I = 27, (1 3 5); 49.96 deg, I = 18, (1 5 2); 63.22 deg, I = 17, (2 4 0); 42.80 deg, I = 17, (0 4 4); 31.94 deg, I = 17, (0 4 1)

Cell and atoms:
Cell: 3.4230 11.5023 12.4574 Å, 90.00 90.00 90.00°
Space group Cmcm (No. 63)
Asymmetric unit:
Ce 0.0000 0.1376 0.0429 [8 per cell]
Pa 0.0000 0.4059 0.2500 [4 per cell]
Cr 0.0000 0.3289 0.7500 [4 per cell]
C 0.0000 0.0702 0.2500 [4 per cell]
C 0.0000 0.2216 0.6427 [8 per cell]
C 0.0000 0.5000 0.0000 [4 per cell]